[1]
# Fe2CoHg
Calculated powder X-ray diffraction pattern, λ = 1.5418 Å (Cu Kα). Input: a crystal structure in Alexandria, relaxed with PBE.
No peak broadening, texture or thermal motion is included.

Atomic structure:
```
Fe2CoHg
1.0
3.0495 0.0000 0.0000
0.0000 3.0495 0.0000
0.0000 0.0000 6.0061
Fe Co Hg
2 1 1
direct
0.0000 0.0000 0.0000
0.5000 0.5000 0.2071
0.5000 0.5000 0.8025
0.0000 0.0000 0.5072
```

Principal peaks in the range 15 to 90 degrees two-theta, most intense first:
d 2.140, 2θ = 42.24°, I 100
d 2.156, 2θ = 41.90°, I 57
d 2.719, 2θ = 32.94°, I 48
d 1.242, 2θ = 76.76°, I 33
d 3.049, 2θ = 29.29°, I 20
d 1.525, 2θ = 60.74°, I 18
d 1.467, 2θ = 63.40°, I 13
d 3.003, 2θ = 29.75°, I 13



[2]
# Ho2Fe5Co12
Calculated powder X-ray diffraction pattern, λ = 1.5418 Å (Cu Kα). Input: a crystal structure in Alexandria, relaxed with PBE.
No peak broadening, texture or thermal motion is included.

Atomic structure:
```
Ho2Fe5Co12
1.0
4.1610 2.4023 4.0665
-4.1610 2.4023 4.0665
0.0000 -4.8047 4.0665
Ho Fe Co
2 5 12
direct
0.1578 0.1578 0.1578
0.8422 0.8422 0.8422
0.0000 0.5000 0.5000
0.4041 0.4041 0.4041
0.5000 0.0000 0.5000
0.5000 0.5000 0.0000
0.5959 0.5959 0.5959
0.1534 0.1534 0.6581
0.1534 0.6581 0.1534
0.2097 0.5000 0.7903
0.2097 0.7903 0.5000
0.3419 0.8466 0.8466
0.5000 0.2097 0.7903
0.5000 0.7903 0.2097
0.6581 0.1534 0.1534
0.7903 0.2097 0.5000
0.7903 0.5000 0.2097
0.8466 0.3419 0.8466
0.8466 0.8466 0.3419
```

Principal peaks in the range 15 to 90 degrees two-theta, most intense first:
d 2.068, 2θ = 43.77°, I 100
d 2.080, 2θ = 43.50°, I 61
d 2.033, 2θ = 44.58°, I 50
d 2.402, 2θ = 37.44°, I 41
d 2.908, 2θ = 30.74°, I 41
d 2.328, 2θ = 38.68°, I 30
d 1.467, 2θ = 63.39°, I 26
d 1.454, 2θ = 64.04°, I 25



[3]
# HoFe7Co5
Calculated powder X-ray diffraction pattern, λ = 1.5418 Å (Cu Kα). Input: a crystal structure in Alexandria, relaxed with PBE.
No peak broadening, texture or thermal motion is included.

Atomic structure:
```
HoFe7Co5
1.0
-2.3697 4.1743 4.1593
2.3697 -4.1743 4.1593
2.3697 4.1743 -4.1593
Ho Fe Co
1 7 5
direct
0.0000 0.0000 0.0000
0.2232 0.4992 0.7240
0.2276 0.7276 0.5000
0.3587 0.0006 0.3581
0.3591 0.3591 0.0000
0.6426 0.0006 0.6419
0.6437 0.6437 0.0000
0.7753 0.4992 0.2760
0.4996 0.4994 0.5004
0.4996 0.9991 0.0001
0.7743 0.2743 0.5000
0.9990 0.4994 0.9999
0.9990 0.9991 0.4996
```

Principal peaks in the range 15 to 90 degrees two-theta, most intense first:
d 2.078, 2θ = 43.55°, I 100
d 2.060, 2θ = 43.96°, I 57
d 2.930, 2θ = 30.51°, I 31
d 2.087, 2θ = 43.35°, I 23
d 1.847, 2θ = 49.35°, I 20
d 2.400, 2θ = 37.48°, I 18
d 2.393, 2θ = 37.58°, I 18
d 1.304, 2θ = 72.47°, I 16



[4]
# HoTiFe8Co3
Calculated powder X-ray diffraction pattern, λ = 1.5418 Å (Cu Kα). Input: a crystal structure in Alexandria, relaxed with PBE.
No peak broadening, texture or thermal motion is included.

Atomic structure:
```
HoTiFe8Co3
1.0
-2.3546 4.2081 4.2101
2.3546 -4.2081 4.2101
2.3546 4.2081 -4.2101
Ho Ti Fe Co
1 1 8 3
direct
0.0000 0.0000 0.0000
0.6182 0.6182 0.0000
0.2116 0.4950 0.7167
0.2290 0.7290 0.5000
0.4961 0.4977 0.4994
0.4961 0.9966 0.9984
0.7691 0.2691 0.5000
0.7783 0.4950 0.2833
0.9982 0.4977 0.0016
0.9982 0.9966 0.5006
0.3449 0.3449 0.0000
0.3556 0.9980 0.3576
0.6405 0.9980 0.6424
```

Principal peaks in the range 15 to 90 degrees two-theta, most intense first:
d 2.092, 2θ = 43.25°, I 100
d 2.055, 2θ = 44.07°, I 70
d 2.105, 2θ = 42.98°, I 59
d 2.411, 2θ = 37.30°, I 47
d 2.941, 2θ = 30.40°, I 39
d 1.847, 2θ = 49.35°, I 22
d 1.303, 2θ = 72.57°, I 20
d 1.213, 2θ = 78.95°, I 18



[5]
# InFeCo
Calculated powder X-ray diffraction pattern, λ = 1.5418 Å (Cu Kα). Input: a crystal structure in Alexandria, relaxed with PBE.
No peak broadening, texture or thermal motion is included.

Atomic structure:
```
InFeCo
1.0
3.0512 0.0000 0.0000
0.0000 3.0512 0.0000
0.0000 0.0000 9.3370
In Fe Co
2 2 2
direct
0.0000 0.0000 0.0000
0.5000 0.5000 0.5000
0.0000 0.0000 0.6893
0.5000 0.5000 0.1893
0.0000 0.0000 0.3154
0.5000 0.5000 0.8154
```

Principal peaks in the range 15 to 90 degrees two-theta, most intense first:
d 2.179, 2θ = 41.44°, I 100
d 2.158, 2θ = 41.87°, I 52
d 1.250, 2θ = 76.18°, I 30
d 2.900, 2θ = 30.83°, I 21
d 1.526, 2θ = 60.70°, I 16
d 1.262, 2θ = 75.30°, I 12
d 1.584, 2θ = 58.23°, I 9
d 2.334, 2θ = 38.57°, I 8



[6]
# Fe2CoIr6
Calculated powder X-ray diffraction pattern, λ = 1.5418 Å (Cu Kα). Input: a crystal structure in Alexandria, relaxed with PBE.
No peak broadening, texture or thermal motion is included.

Atomic structure:
```
Fe2CoIr6
1.0
-1.3559 3.5653 6.5576
1.3559 -3.5653 6.5576
1.3559 3.5653 -6.5576
Fe Co Ir
2 1 6
direct
0.1664 0.1664 0.0000
0.8336 0.8336 0.0000
0.5000 0.5000 0.0000
0.1412 0.3333 0.8079
0.1951 0.0000 0.1951
0.4747 0.6667 0.8079
0.5253 0.3333 0.1921
0.8049 0.0000 0.8049
0.8588 0.6667 0.1921
```

Principal peaks in the range 15 to 90 degrees two-theta, most intense first:
d 1.935, 2θ = 46.95°, I 100
d 2.088, 2θ = 43.33°, I 81
d 2.304, 2θ = 39.09°, I 72
d 2.186, 2θ = 41.30°, I 58
d 3.565, 2θ = 24.98°, I 56
d 2.535, 2θ = 35.41°, I 34
d 1.093, 2θ = 89.71°, I 32
d 1.356, 2θ = 69.30°, I 26



[7]
# FeCo2Ir2
Calculated powder X-ray diffraction pattern, λ = 1.5418 Å (Cu Kα). Input: a crystal structure in Alexandria, relaxed with PBE.
No peak broadening, texture or thermal motion is included.

Atomic structure:
```
FeCo2Ir2
1.0
7.1418 0.0000 0.0000
0.0000 7.1418 0.0000
0.0000 0.0000 2.6727
Fe Co Ir
2 4 4
direct
0.0000 0.0000 0.0000
0.5000 0.5000 0.0000
0.1679 0.3321 0.5000
0.3321 0.8321 0.5000
0.6679 0.1679 0.5000
0.8321 0.6679 0.5000
0.1314 0.6314 0.0000
0.3686 0.1314 0.0000
0.6314 0.8686 0.0000
0.8686 0.3686 0.0000
```

Principal peaks in the range 15 to 90 degrees two-theta, most intense first:
d 2.050, 2θ = 44.19°, I 100
d 2.258, 2θ = 39.92°, I 51
d 3.194, 2θ = 27.94°, I 42
d 5.050, 2θ = 17.56°, I 39
d 1.188, 2θ = 80.92°, I 20
d 2.673, 2θ = 33.53°, I 19
d 1.981, 2θ = 45.81°, I 18
d 1.591, 2θ = 57.95°, I 18



[8]
# Fe3Co2Ir2
Calculated powder X-ray diffraction pattern, λ = 1.5418 Å (Cu Kα). Input: a crystal structure in Alexandria, relaxed with PBE.
No peak broadening, texture or thermal motion is included.

Atomic structure:
```
Fe3Co2Ir2
1.0
2.0865 1.2046 5.9152
-2.0865 1.2046 5.9152
0.0000 -2.4093 5.9152
Fe Co Ir
3 2 2
direct
0.0000 0.0000 0.0000
0.4340 0.4340 0.4340
0.5660 0.5660 0.5660
0.1383 0.1383 0.1383
0.8617 0.8617 0.8617
0.2849 0.2849 0.2849
0.7151 0.7151 0.7151
```

Principal peaks in the range 15 to 90 degrees two-theta, most intense first:
d 2.087, 2θ = 43.37°, I 100
d 2.075, 2θ = 43.61°, I 97
d 3.347, 2θ = 26.63°, I 39
d 1.472, 2θ = 63.18°, I 34
d 1.202, 2θ = 79.75°, I 31
d 2.532, 2θ = 35.45°, I 27
d 1.205, 2θ = 79.59°, I 18
d 2.802, 2θ = 31.94°, I 15